Theoretical powder XRD pattern of Hf4NbRe for Cu Kα (weighted mean of Kα1 and Kα2), from a crystal structure in Alexandria, relaxed with GGA-PBE.

Structural model:
```
data_Hf4NbRe
_chemical_formula_sum 'Hf4 Nb1 Re1'
_cell_length_a 4.5593
_cell_length_b 4.5629
_cell_length_c 6.5592
_cell_angle_alpha 90.00
_cell_angle_beta 90.08
_cell_angle_gamma 90.00
_symmetry_space_group_name_H-M 'P 1 2/m 1'
_symmetry_Int_Tables_number 10
_symmetry_space_group_name_Hall '-P 2y'
loop_
_atom_site_label
_atom_site_fract_x
_atom_site_fract_y
_atom_site_fract_z
Hf1 0.0000 0.0000 0.2418
Hf2 0.4998 0.5000 0.2423
Nb1 0.0000 0.5000 0.5000
Re1 0.5000 0.0000 0.0000
```

Main lines, in order of rising 2θ (10 to 90 degrees two-theta):
hkl  2theta  d [Å]  intensity
0 1 1  23.76  3.745  30
1 1 0  27.66  3.225  23
1 1 2  39.18  2.300  100
2 0 0  39.52  2.281  49
2 2 0  57.12  1.613  17
1 3 2  71.43  1.321  26